[1]
This entry pairs a crystal structure of SrLaCuS3 with its theoretical XRD peak list. Radiation: λ = 1.5418 Å (Cu Kα). Structure: a cell relaxed with GGA-PBE.
Neutral-atom scattering factors, no anomalous dispersion.

Lattice parameters (Å, degrees): 11.231 4.137 11.653 90.00 90.00 90.00
Space group Pnma (No. 62)
One atom of each set of equivalent atoms:
Sr1 0.181 0.250 0.008 [4 per cell]
La1 0.010 0.250 0.683 [4 per cell]
Cu1 0.245 0.750 0.788 [4 per cell]
S1 0.051 0.750 0.859 [4 per cell]
S2 0.116 0.250 0.441 [4 per cell]
S3 0.224 0.750 0.196 [4 per cell]

Main lines, most intense first (2θ = 15–90°):
| 2θ (°) | d/Å | I (rel.) |
| --- | --- | --- |
| 27.86 | 3.202 | 100 |
| 32.61 | 2.746 | 85 |
| 35.49 | 2.529 | 75 |
| 27.61 | 3.231 | 69 |
| 43.76 | 2.068 | 54 |
| 38.64 | 2.330 | 53 |
| 24.24 | 3.672 | 52 |
| 24.98 | 3.564 | 43 |
| 35.83 | 2.506 | 42 |
| 30.93 | 2.892 | 35 |

***

[2]
This entry pairs a crystal structure of Rb2CeBr5 with its theoretical XRD peak list. Radiation: λ = 1.5418 Å (Cu Kα). Structure: a cell relaxed with GGA-PBE.
Neutral-atom scattering factors, no anomalous dispersion.

Lattice parameters (Å, degrees): 14.116 9.473 8.793 90.00 90.00 90.00
Space group Pnma (No. 62)
One atom of each set of equivalent atoms:
Rb1 0.172 0.005 0.053 [8 per cell]
Ce1 0.004 0.250 0.574 [4 per cell]
Br1 0.010 0.250 0.914 [4 per cell]
Br2 0.074 0.543 0.661 [8 per cell]
Br3 0.175 0.250 0.379 [4 per cell]
Br4 0.199 0.750 0.340 [4 per cell]

Main lines, most intense first (2θ = 15–90°):
| 2θ (°) | d/Å | I (rel.) |
| --- | --- | --- |
| 28.41 | 3.141 | 100 |
| 27.23 | 3.275 | 66 |
| 30.50 | 2.931 | 64 |
| 28.60 | 3.121 | 52 |
| 37.99 | 2.368 | 52 |
| 31.62 | 2.830 | 44 |
| 38.51 | 2.338 | 44 |
| 34.46 | 2.603 | 41 |
| 24.80 | 3.590 | 27 |
| 44.06 | 2.055 | 26 |

***

[3]
This entry pairs a crystal structure of Nb6Ni7 with its theoretical XRD peak list. Radiation: λ = 1.5418 Å (Cu Kα). Structure: a cell relaxed with GGA-PBE.
Neutral-atom scattering factors, no anomalous dispersion.

Lattice parameters (Å, degrees): 4.8929 4.8929 26.4984 90.00 90.00 120.00
Space group R-3m (No. 166, hexagonal axes)
One atom of each set of equivalent atoms:
Nb1 0.0000 0.0000 0.0493 [6 per cell]
Nb2 0.0000 0.0000 0.1555 [6 per cell]
Nb3 0.0000 0.0000 0.3314 [6 per cell]
Ni1 0.0000 0.0000 0.5000 [3 per cell]
Ni2 0.0004 0.5002 0.0908 [18 per cell]

Main lines, most intense first (2θ = 15–90°):
| 2θ (°) | d/Å | I (rel.) |
| --- | --- | --- |
| 42.23 | 2.140 | 100 |
| 36.74 | 2.446 | 77 |
| 43.21 | 2.094 | 64 |
| 40.14 | 2.247 | 55 |
| 42.82 | 2.112 | 40 |
| 46.14 | 1.967 | 39 |
| 78.14 | 1.223 | 32 |
| 70.62 | 1.334 | 24 |
| 75.34 | 1.261 | 24 |
| 40.87 | 2.208 | 22 |

***

[4]
This entry pairs a crystal structure of Ce3Er with its theoretical XRD peak list. Radiation: λ = 1.5418 Å (Cu Kα). Structure: a cell relaxed with GGA-PBE.
Neutral-atom scattering factors, no anomalous dispersion.

Lattice parameters (Å, degrees): 4.842 4.842 4.842 90.00 90.00 90.00
Space group Pm-3m (No. 221)
One atom of each set of equivalent atoms:
Ce1 0.000 0.000 0.500 [3 per cell]
Er1 0.500 0.500 0.500 [1 per cell]

Main lines, most intense first (2θ = 15–90°):
| 2θ (°) | d/Å | I (rel.) |
| --- | --- | --- |
| 32.01 | 2.796 | 100 |
| 37.13 | 2.421 | 50 |
| 63.74 | 1.460 | 41 |
| 53.52 | 1.712 | 35 |
| 87.89 | 1.111 | 18 |
| 66.94 | 1.398 | 12 |
| 79.11 | 1.211 | 6 |
| 18.32 | 4.842 | 1 |

***

[5]
This entry pairs a crystal structure of KB5H8O12 with its theoretical XRD peak list. Radiation: λ = 1.5418 Å (Cu Kα). Structure: a cell relaxed with GGA-PBE.
Neutral-atom scattering factors, no anomalous dispersion.

Lattice parameters (Å, degrees): 10.802 10.909 10.112 90.00 90.00 90.00
Space group Aea2 (No. 41)
One atom of each set of equivalent atoms:
K1 0.000 0.000 0.000 [4 per cell]
B1 0.000 0.000 0.334 [4 per cell]
B2 0.200 0.091 0.254 [8 per cell]
B3 0.208 0.432 0.919 [8 per cell]
H1 0.026 0.375 0.068 [8 per cell]
H2 0.066 0.362 0.218 [8 per cell]
H3 0.146 0.166 0.679 [8 per cell]
H4 0.249 0.297 0.553 [8 per cell]
O1 0.000 0.158 0.656 [8 per cell]
O2 0.075 0.080 0.249 [8 per cell]
O3 0.082 0.424 0.921 [8 per cell]
O4 0.215 0.361 0.494 [8 per cell]
O5 0.230 0.016 0.839 [8 per cell]
O6 0.239 0.173 0.675 [8 per cell]

Main lines, most intense first (2θ = 15–90°):
| 2θ (°) | d/Å | I (rel.) |
| --- | --- | --- |
| 25.40 | 3.507 | 100 |
| 16.25 | 5.455 | 66 |
| 24.00 | 3.708 | 51 |
| 27.34 | 3.262 | 32 |
| 28.93 | 3.086 | 29 |
| 33.17 | 2.700 | 25 |
| 36.22 | 2.480 | 19 |
| 29.21 | 3.057 | 18 |
| 37.47 | 2.400 | 16 |
| 41.15 | 2.193 | 12 |

***

[6]
This entry pairs a crystal structure of HgAsC4Se3N with its theoretical XRD peak list. Radiation: λ = 1.5418 Å (Cu Kα). Structure: a cell relaxed with GGA-PBE.
Neutral-atom scattering factors, no anomalous dispersion.

Lattice parameters (Å, degrees): 7.114 18.639 10.733 90.00 127.13 90.00
Space group P2_1/c (No. 14)
One atom of each set of equivalent atoms:
Hg1 0.200 0.016 0.428 [4 per cell]
As1 0.341 0.554 0.654 [4 per cell]
C1 0.324 0.170 0.077 [4 per cell]
C2 0.357 0.667 0.431 [4 per cell]
C3 0.464 0.714 0.383 [4 per cell]
C4 0.475 0.621 0.389 [4 per cell]
Se1 0.076 0.575 0.723 [4 per cell]
Se2 0.199 0.672 0.516 [4 per cell]
Se3 0.279 0.105 0.629 [4 per cell]
N1 0.437 0.667 0.260 [4 per cell]

Main lines, most intense first (2θ = 15–90°):
| 2θ (°) | d/Å | I (rel.) |
| --- | --- | --- |
| 17.64 | 5.027 | 100 |
| 26.90 | 3.314 | 63 |
| 25.10 | 3.547 | 45 |
| 25.36 | 3.512 | 42 |
| 15.69 | 5.646 | 40 |
| 25.53 | 3.489 | 33 |
| 23.96 | 3.714 | 28 |
| 34.90 | 2.571 | 27 |
| 31.48 | 2.842 | 26 |
| 21.72 | 4.092 | 26 |

***

[7]
This entry pairs a crystal structure of Cs2GaSb2 with its theoretical XRD peak list. Radiation: λ = 1.5418 Å (Cu Kα). Structure: a cell relaxed with GGA-PBE.
Neutral-atom scattering factors, no anomalous dispersion.

Lattice parameters (Å, degrees): 18.383 11.406 8.555 90.00 90.00 90.00
Space group Pnma (No. 62)
One atom of each set of equivalent atoms:
Cs1 0.128 0.034 0.124 [8 per cell]
Cs2 0.136 0.052 0.630 [8 per cell]
Ga1 0.078 0.750 0.392 [4 per cell]
Ga2 0.079 0.750 0.860 [4 per cell]
Sb1 0.005 0.750 0.126 [4 per cell]
Sb2 0.013 0.250 0.373 [4 per cell]
Sb3 0.218 0.750 0.456 [4 per cell]
Sb4 0.219 0.750 0.797 [4 per cell]

Main lines, most intense first (2θ = 15–90°):
| 2θ (°) | d/Å | I (rel.) |
| --- | --- | --- |
| 26.53 | 3.360 | 100 |
| 24.88 | 3.578 | 81 |
| 25.36 | 3.512 | 50 |
| 47.12 | 1.929 | 32 |
| 31.37 | 2.852 | 28 |
| 32.10 | 2.788 | 27 |
| 47.55 | 1.912 | 23 |
| 49.87 | 1.829 | 18 |
| 29.91 | 2.988 | 17 |
| 31.87 | 2.808 | 16 |

***

[8]
This entry pairs a crystal structure of LaTiNbBi2O9 with its theoretical XRD peak list. Radiation: λ = 1.5418 Å (Cu Kα). Structure: a cell relaxed with GGA-PBE.
Neutral-atom scattering factors, no anomalous dispersion.

Lattice parameters (Å, degrees): 5.465 25.382 5.467 90.00 90.00 90.00
Space group Pbam (No. 55)
One atom of each set of equivalent atoms:
La1 0.000 0.000 0.000 [2 per cell]
La2 0.000 0.500 0.500 [2 per cell]
Ti1 0.004 0.088 0.500 [4 per cell]
Nb1 0.001 0.411 0.000 [4 per cell]
Bi1 0.002 0.300 0.500 [4 per cell]
Bi2 0.013 0.200 0.000 [4 per cell]
O1 0.000 0.000 0.500 [2 per cell]
O2 0.000 0.500 0.000 [2 per cell]
O3 0.004 0.663 0.000 [4 per cell]
O4 0.018 0.159 0.500 [4 per cell]
O5 0.243 0.750 0.250 [8 per cell]
O6 0.246 0.073 0.249 [8 per cell]
O7 0.249 0.425 0.253 [8 per cell]

Main lines, most intense first (2θ = 15–90°):
| 2θ (°) | d/Å | I (rel.) |
| --- | --- | --- |
| 29.04 | 3.075 | 100 |
| 32.77 | 2.733 | 35 |
| 56.22 | 1.636 | 32 |
| 48.98 | 1.860 | 26 |
| 47.02 | 1.933 | 21 |
| 35.36 | 2.538 | 13 |
| 59.65 | 1.550 | 12 |
| 60.18 | 1.538 | 12 |
| 79.22 | 1.209 | 11 |
| 88.86 | 1.101 | 10 |

***

[9]
This entry pairs a crystal structure of As2Pd with its theoretical XRD peak list. Radiation: λ = 1.5418 Å (Cu Kα). Structure: a cell relaxed with GGA-PBE.
Neutral-atom scattering factors, no anomalous dispersion.

Lattice parameters (Å, degrees): 6.086 6.086 6.086 90.00 90.00 90.00
Space group Pa-3 (No. 205)
One atom of each set of equivalent atoms:
As1 0.117 0.117 0.117 [8 per cell]
Pd1 0.000 0.000 0.500 [4 per cell]

Main lines, most intense first (2θ = 15–90°):
| 2θ (°) | d/Å | I (rel.) |
| --- | --- | --- |
| 49.68 | 1.835 | 100 |
| 32.91 | 2.722 | 69 |
| 29.35 | 3.043 | 68 |
| 36.15 | 2.485 | 59 |
| 41.99 | 2.152 | 39 |
| 82.32 | 1.171 | 36 |
| 56.58 | 1.627 | 33 |
| 54.35 | 1.688 | 23 |
| 25.35 | 3.514 | 17 |
| 86.01 | 1.130 | 15 |